The following is a calculated X-ray powder pattern of Tl2In3Sn. It was derived from a crystal structure in Alexandria, relaxed with PBE, using Cu Kα X-rays.
Peak positions follow from Bragg's law for the DFT cell and can differ from measured ones.

Principal peaks in the range 10 to 90 degrees two-theta, sorted by position:
- 31.67°, 2.825 Å, I = 31.3, hkl 2 0 0
- 32.82°, 2.729 Å, I = 18.8, hkl 0 0 2
- 33.21°, 2.698 Å, I = 100.0, hkl 1 3 1
- 36.56°, 2.457 Å, I = 14.5, hkl 1 0 2
- 46.25°, 1.963 Å, I = 14.5, hkl 2 0 2
- 49.07°, 1.856 Å, I = 9.3, hkl 0 6 0
- 57.40°, 1.605 Å, I = 21.2, hkl 3 3 1
- 59.60°, 1.551 Å, I = 13.8, hkl 2 6 0
- 66.09°, 1.414 Å, I = 13.5, hkl 4 0 0
- 69.72°, 1.349 Å, I = 8.5, hkl 2 6 2

Crystal structure
a b c (Å): 5.650 11.139 5.458
angles (deg): 90.00 90.00 90.00
Fractional coordinates of all 12 atoms:
Tl 0.250 0.084 0.050
Tl 0.250 0.416 0.050
Tl 0.750 0.584 0.950
Tl 0.750 0.916 0.950
In 0.250 0.250 0.554
In 0.250 0.587 0.544
In 0.250 0.913 0.544
In 0.750 0.087 0.456
In 0.750 0.413 0.456
In 0.750 0.750 0.446
Sn 0.250 0.750 0.056
Sn 0.750 0.250 0.944